Record 1
Starting from the PBE geometry in Alexandria, the X-ray diffraction stick pattern of Nd3SnAu was computed for λ = 1.5418 Å (Cu Kα).
Peak positions follow from Bragg's law for the DFT cell and can differ from measured ones.

Largest 12 diffraction maxima, by angle, 10 to 90 degrees two-theta:
2θ (°)	I/Imax
28.55	798
28.88	1000
30.38	492
32.84	361
35.64	777
36.47	557
36.66	189
39.46	324
39.62	531
50.73	237
56.18	235
57.16	222

```
Nd3SnAu
1.0
4.550 0.000 0.000
-2.267 7.568 0.000
-0.004 -0.386 8.884
Nd Sn Au
6 2 2
direct
0.050 0.099 0.302 Nd
0.242 0.485 0.688 Nd
0.397 0.796 0.067 Nd
0.603 0.204 0.933 Nd
0.758 0.515 0.312 Nd
0.950 0.901 0.698 Nd
0.403 0.806 0.434 Sn
0.597 0.194 0.566 Sn
0.203 0.404 0.083 Au
0.797 0.596 0.917 Au
```

=====

Record 2
Starting from the PBE geometry in Alexandria, the X-ray diffraction stick pattern of Nd6Sn2Au was computed for λ = 1.5418 Å (Cu Kα).
Peak positions follow from Bragg's law for the DFT cell and can differ from measured ones.

Largest 12 diffraction maxima, by angle, 10 to 90 degrees two-theta:
2θ (°)	I/Imax
11.95	115
29.21	796
31.66	1000
31.96	440
36.38	401
38.17	412
41.30	260
48.99	114
53.16	209
56.20	232
58.25	387
88.35	127

```
Nd6Sn2Au
1.0
8.554 0.000 0.000
-4.277 7.408 0.000
0.000 0.000 4.372
Nd Sn Au
6 2 1
direct
0.000 0.410 0.000 Nd
0.000 0.747 0.500 Nd
0.253 0.253 0.500 Nd
0.410 0.000 0.000 Nd
0.590 0.590 0.000 Nd
0.747 0.000 0.500 Nd
0.333 0.667 0.500 Sn
0.667 0.333 0.500 Sn
0.000 0.000 0.000 Au
```

=====

Record 3
Starting from the PBE geometry in Alexandria, the X-ray diffraction stick pattern of Nd7Sn5Au was computed for λ = 1.5418 Å (Cu Kα).
Peak positions follow from Bragg's law for the DFT cell and can differ from measured ones.

Largest 12 diffraction maxima, by angle, 10 to 90 degrees two-theta:
2θ (°)	I/Imax
27.16	441
27.71	236
31.24	221
31.88	1000
32.37	364
33.05	344
35.46	382
36.04	759
36.83	338
56.01	303
60.99	177
66.61	233

```
Nd7Sn5Au
1.0
-3.219 5.726 5.421
3.219 -5.726 5.421
3.219 5.726 -5.421
Nd Sn Au
7 5 1
direct
0.000 0.000 0.000 Nd
0.325 0.653 0.672 Nd
0.427 0.427 0.000 Nd
0.473 0.136 0.337 Nd
0.798 0.136 0.663 Nd
0.872 0.372 0.500 Nd
0.981 0.653 0.328 Nd
0.143 0.151 0.497 Sn
0.143 0.646 0.992 Sn
0.389 0.889 0.500 Sn
0.654 0.151 0.008 Sn
0.654 0.646 0.503 Sn
0.711 0.711 0.000 Au
```

=====

What did the third record say?
Starting from the PBE geometry in Alexandria, the X-ray diffraction stick pattern of Nd7Sn5Au was computed for λ = 1.5418 Å (Cu Kα).
Peak positions follow from Bragg's law for the DFT cell and can differ from measured ones.

Largest 12 diffraction maxima, by angle, 10 to 90 degrees two-theta:
2θ (°)	I/Imax
27.16	441
27.71	236
31.24	221
31.88	1000
32.37	364
33.05	344
35.46	382
36.04	759
36.83	338
56.01	303
60.99	177
66.61	233

```
Nd7Sn5Au
1.0
-3.219 5.726 5.421
3.219 -5.726 5.421
3.219 5.726 -5.421
Nd Sn Au
7 5 1
direct
0.000 0.000 0.000 Nd
0.325 0.653 0.672 Nd
0.427 0.427 0.000 Nd
0.473 0.136 0.337 Nd
0.798 0.136 0.663 Nd
0.872 0.372 0.500 Nd
0.981 0.653 0.328 Nd
0.143 0.151 0.497 Sn
0.143 0.646 0.992 Sn
0.389 0.889 0.500 Sn
0.654 0.151 0.008 Sn
0.654 0.646 0.503 Sn
0.711 0.711 0.000 Au
```